# 1
For Er2Cu7, the PBE geometry in Alexandria gives the calculated powder diffractogram in this record (Cu Kα).

Unit cell a=12.666 b=12.666 c=12.666 alpha=23.23 beta=23.23 gamma=23.23
Atoms (fractional coordinates):
Er: 0.050 0.050 0.050
Er: 0.148 0.148 0.148
Er: 0.852 0.852 0.852
Er: 0.950 0.950 0.950
Cu: 0.000 0.500 0.500
Cu: 0.108 0.611 0.611
Cu: 0.278 0.278 0.278
Cu: 0.388 0.388 0.388
Cu: 0.389 0.389 0.892
Cu: 0.389 0.892 0.389
Cu: 0.500 0.000 0.500
Cu: 0.500 0.500 0.000
Cu: 0.500 0.500 0.500
Cu: 0.611 0.108 0.611
Cu: 0.611 0.611 0.108
Cu: 0.612 0.612 0.612
Cu: 0.722 0.722 0.722
Cu: 0.892 0.389 0.389

Largest 12 diffraction maxima, sorted by position, 2θ = 15–90°:
2θ 31.57, 2.834 Å, intensity 41
2θ 33.51, 2.674 Å, intensity 33
2θ 35.20, 2.550 Å, intensity 49
2θ 40.94, 2.204 Å, intensity 35
2θ 41.70, 2.166 Å, intensity 100
2θ 44.11, 2.053 Å, intensity 15
2θ 45.53, 1.992 Å, intensity 12
2θ 60.90, 1.521 Å, intensity 13
2θ 62.09, 1.495 Å, intensity 11
2θ 64.32, 1.448 Å, intensity 11
2θ 67.60, 1.386 Å, intensity 23
2θ 74.41, 1.275 Å, intensity 21


# 2
For ErCu11, the PBE geometry in Alexandria gives the calculated powder diffractogram in this record (Cu Kα).

Unit cell a=7.769 b=7.769 c=7.769 alpha=100.18 beta=100.18 gamma=130.29
Atoms (fractional coordinates):
Er: 0.375 0.625 0.750
Er: 0.625 0.375 0.250
Cu: 0.000 0.000 0.000
Cu: 0.000 0.000 0.500
Cu: 0.000 0.500 0.000
Cu: 0.125 0.875 0.250
Cu: 0.136 0.558 0.334
Cu: 0.136 0.802 0.578
Cu: 0.198 0.276 0.334
Cu: 0.198 0.864 0.922
Cu: 0.276 0.198 0.834
Cu: 0.276 0.442 0.078
Cu: 0.442 0.276 0.578
Cu: 0.442 0.864 0.166
Cu: 0.500 0.000 0.500
Cu: 0.558 0.136 0.834
Cu: 0.558 0.724 0.422
Cu: 0.724 0.558 0.922
Cu: 0.724 0.802 0.166
Cu: 0.802 0.136 0.078
Cu: 0.802 0.724 0.666
Cu: 0.864 0.198 0.422
Cu: 0.864 0.442 0.666
Cu: 0.875 0.125 0.750

Largest 12 diffraction maxima, sorted by position, 2θ = 15–90°:
2θ 30.17, 2.963 Å, intensity 22
2θ 35.25, 2.546 Å, intensity 39
2θ 39.74, 2.268 Å, intensity 100
2θ 40.46, 2.229 Å, intensity 66
2θ 42.50, 2.127 Å, intensity 31
2θ 45.80, 1.981 Å, intensity 13
2θ 47.69, 1.907 Å, intensity 37
2θ 49.51, 1.841 Å, intensity 26
2θ 61.19, 1.515 Å, intensity 18
2θ 62.72, 1.481 Å, intensity 13
2θ 73.11, 1.294 Å, intensity 26
2θ 78.74, 1.215 Å, intensity 13


# 3
For Er2Cu3, the PBE geometry in Alexandria gives the calculated powder diffractogram in this record (Cu Kα).

Unit cell a=5.315 b=5.315 c=7.783 alpha=90.00 beta=90.00 gamma=121.47
Atoms (fractional coordinates):
Er: 0.162 0.838 0.903
Er: 0.338 0.662 0.403
Er: 0.662 0.338 0.597
Er: 0.838 0.162 0.097
Cu: 0.000 0.000 0.500
Cu: 0.156 0.344 0.750
Cu: 0.344 0.156 0.250
Cu: 0.500 0.500 0.000
Cu: 0.656 0.844 0.750
Cu: 0.844 0.656 0.250

Largest 12 diffraction maxima, sorted by position, 2θ = 15–90°:
2θ 30.27, 2.953 Å, intensity 94
2θ 34.52, 2.598 Å, intensity 16
2θ 35.71, 2.514 Å, intensity 100
2θ 39.81, 2.264 Å, intensity 61
2θ 40.60, 2.222 Å, intensity 19
2θ 41.49, 2.176 Å, intensity 51
2θ 41.80, 2.161 Å, intensity 29
2θ 57.86, 1.594 Å, intensity 18
2θ 62.62, 1.483 Å, intensity 19
2θ 64.77, 1.439 Å, intensity 19
2θ 70.96, 1.328 Å, intensity 16
2θ 86.36, 1.127 Å, intensity 16


# 4
For Er4FeCu, the PBE geometry in Alexandria gives the calculated powder diffractogram in this record (Cu Kα).

Unit cell a=7.711 b=7.711 c=6.055 alpha=106.97 beta=106.97 gamma=111.10
Atoms (fractional coordinates):
Er: 0.056 0.708 0.911
Er: 0.223 0.355 0.703
Er: 0.292 0.944 0.589
Er: 0.355 0.223 0.203
Er: 0.645 0.777 0.797
Er: 0.708 0.056 0.411
Er: 0.777 0.645 0.297
Er: 0.944 0.292 0.089
Fe: 0.001 0.999 0.250
Fe: 0.999 0.001 0.750
Cu: 0.369 0.631 0.250
Cu: 0.631 0.369 0.750

Largest 12 diffraction maxima, sorted by position, 2θ = 15–90°:
2θ 26.42, 3.373 Å, intensity 37
2θ 30.15, 2.964 Å, intensity 29
2θ 30.91, 2.893 Å, intensity 61
2θ 31.59, 2.832 Å, intensity 97
2θ 33.05, 2.711 Å, intensity 100
2θ 35.28, 2.544 Å, intensity 76
2θ 36.95, 2.433 Å, intensity 35
2θ 37.48, 2.399 Å, intensity 51
2θ 38.92, 2.314 Å, intensity 79
2θ 40.94, 2.205 Å, intensity 30
2θ 42.08, 2.147 Å, intensity 31
2θ 50.97, 1.792 Å, intensity 34


# 5
For Er4GaCu2, the PBE geometry in Alexandria gives the calculated powder diffractogram in this record (Cu Kα).

Unit cell a=6.983 b=7.338 c=7.478 alpha=106.42 beta=105.26 gamma=107.52
Atoms (fractional coordinates):
Er: 0.000 0.000 0.000
Er: 0.017 0.575 0.165
Er: 0.168 0.043 0.556
Er: 0.259 0.675 0.799
Er: 0.450 0.418 0.102
Er: 0.588 0.846 0.522
Er: 0.656 0.463 0.725
Er: 0.799 0.229 0.357
Ga: 0.265 0.397 0.408
Ga: 0.597 0.114 0.908
Cu: 0.366 0.945 0.209
Cu: 0.679 0.799 0.119
Cu: 0.877 0.656 0.509
Cu: 0.970 0.269 0.782

Largest 12 diffraction maxima, sorted by position, 2θ = 15–90°:
2θ 31.04, 2.881 Å, intensity 71
2θ 31.20, 2.867 Å, intensity 26
2θ 32.34, 2.768 Å, intensity 85
2θ 32.43, 2.761 Å, intensity 55
2θ 33.10, 2.707 Å, intensity 27
2θ 33.79, 2.653 Å, intensity 76
2θ 33.97, 2.639 Å, intensity 100
2θ 34.98, 2.565 Å, intensity 28
2θ 36.39, 2.469 Å, intensity 33
2θ 37.45, 2.401 Å, intensity 51
2θ 38.44, 2.342 Å, intensity 51
2θ 40.78, 2.213 Å, intensity 40


# 6
For Er3Ga7Cu2, the PBE geometry in Alexandria gives the calculated powder diffractogram in this record (Cu Kα).

Unit cell a=4.156 b=4.142 c=13.188 alpha=90.00 beta=99.01 gamma=90.00
Atoms (fractional coordinates):
Er: 0.000 0.000 0.000
Er: 0.316 0.500 0.632
Er: 0.684 0.500 0.368
Ga: 0.084 0.500 0.168
Ga: 0.225 0.000 0.449
Ga: 0.415 0.000 0.831
Ga: 0.500 0.500 0.000
Ga: 0.585 0.000 0.169
Ga: 0.775 0.000 0.551
Ga: 0.916 0.500 0.832
Cu: 0.135 0.000 0.267
Cu: 0.865 0.000 0.733

Largest 12 diffraction maxima, sorted by position, 2θ = 15–90°:
2θ 30.67, 2.915 Å, intensity 9
2θ 32.21, 2.779 Å, intensity 10
2θ 35.09, 2.557 Å, intensity 100
2θ 37.88, 2.375 Å, intensity 10
2θ 39.10, 2.304 Å, intensity 14
2θ 43.55, 2.078 Å, intensity 21
2θ 43.71, 2.071 Å, intensity 21
2θ 57.09, 1.613 Å, intensity 10
2θ 63.41, 1.467 Å, intensity 13
2θ 69.16, 1.358 Å, intensity 9
2θ 74.48, 1.274 Å, intensity 9
2θ 74.70, 1.271 Å, intensity 11


# 7
For Er2Ga12Cu, the PBE geometry in Alexandria gives the calculated powder diffractogram in this record (Cu Kα).

Unit cell a=6.121 b=6.121 c=15.079 alpha=90.00 beta=90.00 gamma=90.00
Atoms (fractional coordinates):
Er: 0.250 0.750 0.244
Er: 0.250 0.750 0.756
Er: 0.750 0.250 0.244
Er: 0.750 0.250 0.756
Ga: 0.000 0.000 0.088
Ga: 0.000 0.000 0.912
Ga: 0.000 0.500 0.088
Ga: 0.000 0.500 0.912
Ga: 0.085 0.585 0.429
Ga: 0.085 0.915 0.571
Ga: 0.250 0.250 0.184
Ga: 0.250 0.250 0.344
Ga: 0.250 0.250 0.656
Ga: 0.250 0.250 0.816
Ga: 0.415 0.585 0.571
Ga: 0.415 0.915 0.429
Ga: 0.500 0.000 0.088
Ga: 0.500 0.000 0.912
Ga: 0.500 0.500 0.088
Ga: 0.500 0.500 0.912
Ga: 0.585 0.085 0.571
Ga: 0.585 0.415 0.429
Ga: 0.750 0.750 0.184
Ga: 0.750 0.750 0.344
Ga: 0.750 0.750 0.656
Ga: 0.750 0.750 0.816
Ga: 0.915 0.085 0.429
Ga: 0.915 0.415 0.571
Cu: 0.250 0.750 0.000
Cu: 0.750 0.250 0.000

Largest 12 diffraction maxima, sorted by position, 2θ = 15–90°:
2θ 31.52, 2.838 Å, intensity 100
2θ 35.73, 2.513 Å, intensity 8
2θ 37.41, 2.404 Å, intensity 9
2θ 37.87, 2.376 Å, intensity 21
2θ 41.55, 2.173 Å, intensity 23
2θ 41.74, 2.164 Å, intensity 39
2θ 42.06, 2.148 Å, intensity 12
2θ 46.77, 1.942 Å, intensity 9
2θ 53.20, 1.722 Å, intensity 20
2θ 69.62, 1.350 Å, intensity 13
2θ 69.83, 1.347 Å, intensity 11
2θ 76.39, 1.247 Å, intensity 10


# 8
For ErGaCu6, the PBE geometry in Alexandria gives the calculated powder diffractogram in this record (Cu Kα).

Unit cell a=4.874 b=4.874 c=4.874 alpha=90.00 beta=90.00 gamma=90.00
Atoms (fractional coordinates):
Er: 0.000 0.000 0.000
Ga: 0.500 0.500 0.500
Cu: 0.000 0.257 0.500
Cu: 0.000 0.743 0.500
Cu: 0.257 0.500 0.000
Cu: 0.500 0.000 0.257
Cu: 0.500 0.000 0.743
Cu: 0.743 0.500 0.000

Largest 12 diffraction maxima, sorted by position, 2θ = 15–90°:
2θ 18.20, 4.874 Å, intensity 13
2θ 25.85, 3.446 Å, intensity 16
2θ 31.80, 2.814 Å, intensity 8
2θ 36.89, 2.437 Å, intensity 46
2θ 41.43, 2.180 Å, intensity 78
2θ 45.59, 1.990 Å, intensity 100
2θ 56.66, 1.625 Å, intensity 4
2θ 60.03, 1.541 Å, intensity 4
2θ 69.55, 1.352 Å, intensity 16
2θ 72.58, 1.303 Å, intensity 48
2θ 78.50, 1.218 Å, intensity 14
2θ 81.41, 1.182 Å, intensity 3


# 9
For Er4Ga16Cu3, the PBE geometry in Alexandria gives the calculated powder diffractogram in this record (Cu Kα).

Unit cell a=6.196 b=6.196 c=10.909 alpha=90.00 beta=90.00 gamma=90.00
Atoms (fractional coordinates):
Er: 0.000 0.500 0.190
Er: 0.000 0.500 0.810
Er: 0.500 0.000 0.190
Er: 0.500 0.000 0.810
Ga: 0.000 0.000 0.200
Ga: 0.000 0.000 0.800
Ga: 0.215 0.215 0.000
Ga: 0.215 0.785 0.000
Ga: 0.243 0.243 0.378
Ga: 0.243 0.243 0.622
Ga: 0.243 0.757 0.378
Ga: 0.243 0.757 0.622
Ga: 0.500 0.500 0.231
Ga: 0.500 0.500 0.769
Ga: 0.757 0.243 0.378
Ga: 0.757 0.243 0.622
Ga: 0.757 0.757 0.378
Ga: 0.757 0.757 0.622
Ga: 0.785 0.215 0.000
Ga: 0.785 0.785 0.000
Cu: 0.000 0.500 0.500
Cu: 0.500 0.000 0.500
Cu: 0.500 0.500 0.000

Largest 12 diffraction maxima, sorted by position, 2θ = 15–90°:
2θ 20.27, 4.381 Å, intensity 20
2θ 29.99, 2.980 Å, intensity 13
2θ 31.99, 2.798 Å, intensity 31
2θ 33.26, 2.694 Å, intensity 44
2θ 38.16, 2.358 Å, intensity 100
2θ 41.21, 2.191 Å, intensity 71
2θ 41.38, 2.182 Å, intensity 21
2θ 44.25, 2.047 Å, intensity 16
2θ 53.10, 1.725 Å, intensity 12
2θ 59.70, 1.549 Å, intensity 22
2θ 59.83, 1.546 Å, intensity 26
2θ 73.09, 1.295 Å, intensity 25


# 10
For Er2GaCu3, the PBE geometry in Alexandria gives the calculated powder diffractogram in this record (Cu Kα).

Unit cell a=8.628 b=8.247 c=5.507 alpha=74.75 beta=67.24 gamma=38.01
Atoms (fractional coordinates):
Er: 0.243 0.757 0.757
Er: 0.250 0.250 0.250
Er: 0.750 0.750 0.750
Er: 0.757 0.243 0.243
Ga: 0.334 0.334 0.666
Ga: 0.666 0.666 0.334
Cu: 0.167 0.167 0.833
Cu: 0.168 0.666 0.334
Cu: 0.334 0.832 0.168
Cu: 0.666 0.168 0.832
Cu: 0.832 0.334 0.666
Cu: 0.833 0.833 0.167

Largest 12 diffraction maxima, sorted by position, 2θ = 15–90°:
2θ 23.92, 3.721 Å, intensity 22
2θ 35.35, 2.539 Å, intensity 50
2θ 35.45, 2.532 Å, intensity 100
2θ 41.88, 2.157 Å, intensity 53
2θ 42.15, 2.144 Å, intensity 26
2θ 52.99, 1.728 Å, intensity 13
2θ 55.86, 1.646 Å, intensity 13
2θ 56.15, 1.638 Å, intensity 26
2θ 69.73, 1.349 Å, intensity 22
2θ 72.19, 1.309 Å, intensity 12
2θ 72.38, 1.306 Å, intensity 12
2θ 72.70, 1.301 Å, intensity 12


# 11
For Er2Ga6Cu11, the PBE geometry in Alexandria gives the calculated powder diffractogram in this record (Cu Kα).

Unit cell a=6.577 b=6.577 c=6.577 alpha=83.20 beta=83.20 gamma=83.20
Atoms (fractional coordinates):
Er: 0.160 0.160 0.160
Er: 0.840 0.840 0.840
Ga: 0.157 0.157 0.642
Ga: 0.157 0.642 0.157
Ga: 0.358 0.843 0.843
Ga: 0.642 0.157 0.157
Ga: 0.843 0.358 0.843
Ga: 0.843 0.843 0.358
Cu: 0.000 0.500 0.500
Cu: 0.205 0.500 0.795
Cu: 0.205 0.795 0.500
Cu: 0.401 0.401 0.401
Cu: 0.500 0.000 0.500
Cu: 0.500 0.205 0.795
Cu: 0.500 0.500 0.000
Cu: 0.500 0.795 0.205
Cu: 0.599 0.599 0.599
Cu: 0.795 0.205 0.500
Cu: 0.795 0.500 0.205

Largest 12 diffraction maxima, sorted by position, 2θ = 15–90°:
2θ 29.42, 3.036 Å, intensity 33
2θ 35.61, 2.521 Å, intensity 39
2θ 37.02, 2.428 Å, intensity 30
2θ 41.35, 2.183 Å, intensity 63
2θ 41.73, 2.165 Å, intensity 100
2θ 42.83, 2.112 Å, intensity 31
2θ 42.97, 2.105 Å, intensity 17
2θ 46.84, 1.939 Å, intensity 25
2θ 61.05, 1.518 Å, intensity 17
2θ 68.14, 1.376 Å, intensity 16
2θ 75.41, 1.261 Å, intensity 18
2θ 77.69, 1.229 Å, intensity 18


# 12
For ErGa3Cu3, the PBE geometry in Alexandria gives the calculated powder diffractogram in this record (Cu Kα).

Unit cell a=6.809 b=4.200 c=8.376 alpha=90.00 beta=109.71 gamma=90.00
Atoms (fractional coordinates):
Er: 0.106 0.250 0.357
Er: 0.894 0.750 0.643
Ga: 0.027 0.250 0.917
Ga: 0.319 0.750 0.605
Ga: 0.389 0.750 0.301
Ga: 0.611 0.250 0.699
Ga: 0.681 0.250 0.395
Ga: 0.973 0.750 0.083
Cu: 0.267 0.750 0.957
Cu: 0.287 0.250 0.771
Cu: 0.411 0.250 0.117
Cu: 0.589 0.750 0.883
Cu: 0.713 0.750 0.229
Cu: 0.733 0.250 0.043

Largest 12 diffraction maxima, sorted by position, 2θ = 15–90°:
2θ 29.39, 3.039 Å, intensity 31
2θ 30.80, 2.903 Å, intensity 20
2θ 31.11, 2.875 Å, intensity 28
2θ 33.95, 2.641 Å, intensity 33
2θ 35.22, 2.548 Å, intensity 41
2θ 37.30, 2.411 Å, intensity 86
2θ 39.81, 2.264 Å, intensity 33
2θ 40.48, 2.228 Å, intensity 39
2θ 42.27, 2.138 Å, intensity 100
2θ 43.07, 2.100 Å, intensity 75
2θ 47.74, 1.905 Å, intensity 24
2θ 60.10, 1.540 Å, intensity 22


What is the formula in the sixth record?
Er3Ga7Cu2